Record 1
For LaCoO3, a cell relaxed with PBE+U gives the calculated PXRD pattern in this record (Cu Ka).
Kinematic intensities with the Lorentz-polarization factor, no thermal factor.

Principal peaks in the range 2θ = 5–70°, in order of falling intensity:
| 2theta | I/Imax | h k l |
| --- | --- | --- |
| 32.47 | 100 | 1 2 1 |
| 57.68 | 32 | 1 2 3 |
| 46.64 | 30 | 2 0 2 |
| 32.76 | 24 | 2 0 0 |
| 32.26 | 23 | 0 0 2 |
| 22.81 | 18 | 0 2 0 |
| 58.29 | 18 | 3 2 1 |
| 67.99 | 16 | 2 4 2 |
| 46.51 | 14 | 0 4 0 |
| 40.27 | 11 | 2 2 0 |

Crystal structure
```
data_LaCoO3
_chemical_formula_sum 'La4 Co4 O12'
_cell_length_a 5.4674
_cell_length_b 7.8097
_cell_length_c 5.5501
_cell_angle_alpha 90.00
_cell_angle_beta 90.00
_cell_angle_gamma 90.00
_space_group_name_H-M_alt 'P n m a'
_space_group_IT_number 62
loop_
_space_group_symop_operation_xyz
'x,y,z'
'-x,-y,-z'
'-x+1/2,-y,z+1/2'
'x+1/2,y,-z+1/2'
'x+1/2,-y+1/2,-z+1/2'
'-x+1/2,y+1/2,z+1/2'
'-x,y+1/2,-z'
'x,-y+1/2,z'
loop_
_atom_site_label
_atom_site_type_symbol
_atom_site_fract_x
_atom_site_fract_y
_atom_site_fract_z
La1 La 0.0103 0.2500 0.0061
Co1 Co 0.0000 0.0000 0.5000
O1 O 0.0017 0.7500 0.4268
O2 O 0.2365 0.5424 0.7547
```


Record 2
For La4Co3O10, a cell relaxed with PBE+U gives the calculated PXRD pattern in this record (Cu Ka).
Kinematic intensities with the Lorentz-polarization factor, no thermal factor.

Principal peaks in the range 2θ = 5–70°, in order of falling intensity:
| 2theta | I/Imax | h k l |
| --- | --- | --- |
| 31.99 | 100 | 1 0 7 |
| 32.66 | 65 | 1 1 0 |
| 57.87 | 37 | 2 1 7 |
| 46.86 | 37 | 2 0 0 |
| 41.68 | 28 | 1 1 8 |
| 23.15 | 15 | 1 0 1 |
| 66.88 | 12 | 2 0 14 |
| 56.58 | 11 | 1 1 14 |
| 44.85 | 11 | 0 0 14 |
| 68.44 | 11 | 2 2 0 |

Crystal structure
```
data_La4Co3O10
_chemical_formula_sum 'La8 Co6 O20'
_cell_length_a 3.8774
_cell_length_b 3.8774
_cell_length_c 28.2907
_cell_angle_alpha 90.00
_cell_angle_beta 90.00
_cell_angle_gamma 90.00
_space_group_name_H-M_alt 'I 4/m m m'
_space_group_IT_number 139
_space_group_name_Hall '-I 4 2'
loop_
_atom_site_label
_atom_site_type_symbol
_atom_site_fract_x
_atom_site_fract_y
_atom_site_fract_z
La1 La 0.0000 0.0000 0.0669
La2 La 0.0000 0.0000 0.1987
Co1 Co 0.0000 0.0000 0.3596
Co2 Co 0.0000 0.0000 0.5000
O1 O 0.0000 0.0000 0.2809
O2 O 0.0000 0.0000 0.4318
O3 O 0.0000 0.5000 0.0000
O4 O 0.0000 0.5000 0.1404
```


Record 3
For LaCoO3, a cell relaxed with PBE+U gives the calculated PXRD pattern in this record (Cu Ka).
Kinematic intensities with the Lorentz-polarization factor, no thermal factor.

Principal peaks in the range 2θ = 5–70°, in order of falling intensity:
| 2theta | I/Imax | h k l |
| --- | --- | --- |
| 32.04 | 100 | 1 1 -2 |
| 32.62 | 68 | 2 0 0 |
| 32.89 | 33 | 1 1 2 |
| 57.10 | 24 | 1 3 -2 |
| 46.14 | 20 | 2 -2 0 |
| 46.64 | 20 | 0 0 4 |
| 46.53 | 19 | 2 2 0 |
| 22.81 | 17 | 1 1 0 |
| 66.99 | 16 | -2 2 4 |
| 39.57 | 14 | 0 2 -2 |

Crystal structure
```
data_LaCoO3
_chemical_formula_sum 'La4 Co4 O12'
_cell_length_a 5.4983
_cell_length_b 5.5908
_cell_length_c 7.7929
_cell_angle_alpha 90.27
_cell_angle_beta 91.75
_cell_angle_gamma 90.44
_space_group_name_H-M_alt 'P -1'
_space_group_IT_number 2
loop_
_space_group_symop_operation_xyz
'x,y,z'
'-x,-y,-z'
loop_
_atom_site_label
_atom_site_type_symbol
_atom_site_fract_x
_atom_site_fract_y
_atom_site_fract_z
La1 La 0.9999 0.0038 0.2492
La2 La 0.4983 0.4968 0.7530
Co1 Co 0.0000 0.5000 0.0000
Co2 Co 0.0000 0.5000 0.5000
Co3 Co 0.5000 0.0000 0.0000
Co4 Co 0.5000 0.0000 0.5000
O1 O 0.0026 0.5613 0.7449
O2 O 0.2076 0.2075 0.5331
O3 O 0.2255 0.7893 0.0351
O4 O 0.2870 0.2714 0.9658
O5 O 0.2993 0.7183 0.4678
O6 O 0.4919 0.9277 0.7599
```


Record 4
For LaCoO3, a cell relaxed with PBE+U gives the calculated PXRD pattern in this record (Cu Ka).
Kinematic intensities with the Lorentz-polarization factor, no thermal factor.

Principal peaks in the range 2θ = 5–70°, in order of falling intensity:
| 2theta | I/Imax | h k l |
| --- | --- | --- |
| 33.19 | 100 | 1 1 0 |
| 59.31 | 38 | 2 1 1 |
| 47.65 | 32 | 2 0 0 |
| 69.68 | 19 | 2 2 0 |
| 40.95 | 17 | 1 1 1 |
| 23.31 | 11 | 1 0 0 |
| 53.70 | 6 | 2 1 0 |

Crystal structure
```
data_LaCoO3
_chemical_formula_sum 'La1 Co1 O3'
_cell_length_a 3.8168
_cell_length_b 3.8168
_cell_length_c 3.8168
_cell_angle_alpha 90.00
_cell_angle_beta 90.00
_cell_angle_gamma 90.00
_space_group_name_H-M_alt 'P m -3 m'
_space_group_IT_number 221
_space_group_name_Hall '-P 4 2 3'
loop_
_atom_site_label
_atom_site_type_symbol
_atom_site_fract_x
_atom_site_fract_y
_atom_site_fract_z
La1 La 0.0000 0.0000 0.0000
Co1 Co 0.5000 0.5000 0.5000
O1 O 0.0000 0.5000 0.5000
```


Record 5
For LaCoO3, a cell relaxed with PBE+U gives the calculated PXRD pattern in this record (Cu Ka).
Kinematic intensities with the Lorentz-polarization factor, no thermal factor.

Principal peaks in the range 2θ = 5–70°, in order of falling intensity:
| 2theta | I/Imax | h k l |
| --- | --- | --- |
| 32.22 | 100 | 1 1 1 |
| 32.46 | 68 | 3 1 -1 |
| 46.60 | 40 | 2 2 -2 |
| 32.81 | 32 | 2 0 -2 |
| 57.40 | 29 | 1 3 1 |
| 57.54 | 22 | 2 0 2 |
| 58.08 | 20 | 6 0 -2 |
| 46.21 | 19 | 4 0 0 |
| 22.82 | 16 | 1 1 -1 |
| 39.69 | 14 | 2 2 0 |

Crystal structure
```
data_LaCoO3
_chemical_formula_sum 'La4 Co4 O12'
_cell_length_a 9.5271
_cell_length_b 5.5660
_cell_length_c 5.4602
_cell_angle_alpha 90.00
_cell_angle_beta 124.43
_cell_angle_gamma 90.00
_space_group_name_H-M_alt 'C 1 2/c 1'
_space_group_IT_number 15
loop_
_space_group_symop_operation_xyz
'x,y,z'
'-x,-y,-z'
'-x,y,-z+1/2'
'x,-y,z+1/2'
'x+1/2,y+1/2,z'
'-x+1/2,-y+1/2,-z'
'-x+1/2,y+1/2,-z+1/2'
'x+1/2,-y+1/2,z+1/2'
loop_
_atom_site_label
_atom_site_type_symbol
_atom_site_fract_x
_atom_site_fract_y
_atom_site_fract_z
La1 La 0.0000 0.2444 0.2500
Co1 Co 0.2500 0.2500 0.0000
O1 O 0.0000 0.3291 0.7500
O2 O 0.2062 0.0016 0.1987
```


Record 6
For LaCoO3, a cell relaxed with PBE+U gives the calculated PXRD pattern in this record (Cu Ka).
Kinematic intensities with the Lorentz-polarization factor, no thermal factor.

Principal peaks in the range 2θ = 5–70°, in order of falling intensity:
| 2theta | I/Imax | h k l |
| --- | --- | --- |
| 32.22 | 100 | 1 0 -1 |
| 32.31 | 34 | 1 1 2 |
| 32.62 | 33 | 1 2 1 |
| 32.81 | 32 | 2 1 1 |
| 46.41 | 20 | 2 0 2 |
| 46.80 | 20 | 2 2 0 |
| 46.21 | 19 | 0 2 2 |
| 22.67 | 17 | 0 1 1 |
| 57.22 | 15 | 1 0 3 |
| 57.40 | 14 | 1 -2 1 |

Crystal structure
```
data_LaCoO3
_chemical_formula_sum 'La2 Co2 O6'
_cell_length_a 5.4602
_cell_length_b 5.4910
_cell_length_c 5.5427
_cell_angle_alpha 60.59
_cell_angle_beta 60.67
_cell_angle_gamma 60.89
_space_group_name_H-M_alt 'P -1'
_space_group_IT_number 2
loop_
_space_group_symop_operation_xyz
'x,y,z'
'-x,-y,-z'
loop_
_atom_site_label
_atom_site_type_symbol
_atom_site_fract_x
_atom_site_fract_y
_atom_site_fract_z
La1 La 0.2499 0.2444 0.2550
Co1 Co 0.0000 0.0000 0.0000
Co2 Co 0.5000 0.5000 0.5000
O1 O 0.1989 0.7954 0.2928
O2 O 0.2496 0.6729 0.8305
O3 O 0.3048 0.2172 0.6969
```


Record 7
For LaCoO3, a cell relaxed with PBE+U gives the calculated PXRD pattern in this record (Cu Ka).
Kinematic intensities with the Lorentz-polarization factor, no thermal factor.

Principal peaks in the range 2θ = 5–70°, in order of falling intensity:
| 2theta | I/Imax | h k l |
| --- | --- | --- |
| 32.33 | 100 | 1 1 -2 |
| 31.74 | 98 | 1 1 2 |
| 46.70 | 55 | 2 -2 0 |
| 32.95 | 47 | 2 0 0 |
| 32.14 | 47 | 0 2 0 |
| 45.16 | 31 | 0 0 4 |
| 57.74 | 29 | 3 1 2 |
| 22.86 | 24 | 1 1 0 |
| 57.05 | 24 | 1 3 2 |
| 56.51 | 21 | 0 2 -4 |

Crystal structure
```
data_LaCoO3
_chemical_formula_sum 'La4 Co4 O12'
_cell_length_a 5.4378
_cell_length_b 5.5692
_cell_length_c 8.0329
_cell_angle_alpha 89.95
_cell_angle_beta 88.58
_cell_angle_gamma 89.98
_space_group_name_H-M_alt 'P -1'
_space_group_IT_number 2
loop_
_space_group_symop_operation_xyz
'x,y,z'
'-x,-y,-z'
loop_
_atom_site_label
_atom_site_type_symbol
_atom_site_fract_x
_atom_site_fract_y
_atom_site_fract_z
La1 La 0.0007 0.4984 0.2502
La2 La 0.4989 0.0009 0.2494
Co1 Co 0.0000 0.0000 0.0000
Co2 Co 0.0000 0.0000 0.5000
Co3 Co 0.5000 0.5000 0.0000
Co4 Co 0.5000 0.5000 0.5000
O1 O 0.0050 0.0753 0.2499
O2 O 0.2100 0.7271 0.4645
O3 O 0.2232 0.2935 0.9631
O4 O 0.2773 0.7939 0.0333
O5 O 0.2895 0.2282 0.5386
O6 O 0.4971 0.4247 0.2498
```


What did the first record say?
For LaCoO3, a cell relaxed with PBE+U gives the calculated PXRD pattern in this record (Cu Ka).
Kinematic intensities with the Lorentz-polarization factor, no thermal factor.

Principal peaks in the range 2θ = 5–70°, in order of falling intensity:
| 2theta | I/Imax | h k l |
| --- | --- | --- |
| 32.47 | 100 | 1 2 1 |
| 57.68 | 32 | 1 2 3 |
| 46.64 | 30 | 2 0 2 |
| 32.76 | 24 | 2 0 0 |
| 32.26 | 23 | 0 0 2 |
| 22.81 | 18 | 0 2 0 |
| 58.29 | 18 | 3 2 1 |
| 67.99 | 16 | 2 4 2 |
| 46.51 | 14 | 0 4 0 |
| 40.27 | 11 | 2 2 0 |

Crystal structure
```
data_LaCoO3
_chemical_formula_sum 'La4 Co4 O12'
_cell_length_a 5.4674
_cell_length_b 7.8097
_cell_length_c 5.5501
_cell_angle_alpha 90.00
_cell_angle_beta 90.00
_cell_angle_gamma 90.00
_space_group_name_H-M_alt 'P n m a'
_space_group_IT_number 62
loop_
_space_group_symop_operation_xyz
'x,y,z'
'-x,-y,-z'
'-x+1/2,-y,z+1/2'
'x+1/2,y,-z+1/2'
'x+1/2,-y+1/2,-z+1/2'
'-x+1/2,y+1/2,z+1/2'
'-x,y+1/2,-z'
'x,-y+1/2,z'
loop_
_atom_site_label
_atom_site_type_symbol
_atom_site_fract_x
_atom_site_fract_y
_atom_site_fract_z
La1 La 0.0103 0.2500 0.0061
Co1 Co 0.0000 0.0000 0.5000
O1 O 0.0017 0.7500 0.4268
O2 O 0.2365 0.5424 0.7547
```


Number 5 is which compound? LaCoO3